Structure and computed X-ray powder pattern of LiV3Zn2O8 (a cell relaxed with GGA+U; λ = 1.5418 Å (Cu Kα)).

Atomic structure:
a = 5.9598 Å, b = 5.9598 Å, c = 5.9834 Å
α = 120.00°, β = 120.00°, γ = 60.49°
Fractional coordinates of all 14 atoms:
Li 0.0000 0.0000 0.0000
V 0.9995 0.4995 0.9988
V 0.5005 0.0005 0.0012
V 0.9992 0.0008 0.5000
Zn 0.3795 0.3819 0.6213
Zn 0.6181 0.6205 0.3787
O 0.2109 0.7423 0.2382
O 0.2493 0.2494 0.2173
O 0.2503 0.2501 0.7720
O 0.2577 0.7891 0.7618
O 0.7416 0.2131 0.2382
O 0.7499 0.7497 0.2280
O 0.7506 0.7507 0.7827
O 0.7869 0.2584 0.7618

Most intense lines, 2θ = 10–80°, sorted by position:
d [Å]	I (rel.)
4.872	297
2.990	424
2.980	536
2.556	1000
2.537	599
1.493	263

Structure and computed X-ray powder pattern of NaMo4O14 (a cell relaxed with GGA+U; λ = 1.5418 Å (Cu Kα)).

Atomic structure:
a = 5.3893 Å, b = 5.3893 Å, c = 10.1560 Å
α = 97.52°, β = 97.52°, γ = 90.07°
Fractional coordinates of all 19 atoms:
Na 0.0000 0.0000 0.0000
Mo 0.1393 0.1785 0.6462
Mo 0.3121 0.3537 0.3481
Mo 0.6463 0.6879 0.6519
Mo 0.8215 0.8607 0.3538
O 0.0775 0.6131 0.3784
O 0.0865 0.1278 0.4162
O 0.1484 0.1776 0.8173
O 0.2352 0.2818 0.1772
O 0.3873 0.4237 0.6153
O 0.3869 0.9225 0.6216
O 0.4038 0.5962 0.0000
O 0.5656 0.4344 0.0000
O 0.5710 0.1130 0.3725
O 0.5763 0.6127 0.3847
O 0.7182 0.7648 0.8228
O 0.8224 0.8516 0.1827
O 0.8722 0.9135 0.5838
O 0.8870 0.4290 0.6275

Most intense lines, 2θ = 10–80°, sorted by position:
d [Å]	I (rel.)
3.813	865
3.327	442
3.305	1000
2.497	609
1.905	326
1.653	242

Structure and computed X-ray powder pattern of Co3O4 (a cell relaxed with GGA+U; λ = 1.5418 Å (Cu Kα)).

Atomic structure:
a = 5.8599 Å, b = 5.8599 Å, c = 5.8599 Å
α = 118.40°, β = 117.07°, γ = 93.97°
Fractional coordinates of all 14 atoms:
Co 0.0000 0.0000 0.0000
Co 0.0000 0.0000 0.5000
Co 0.0000 0.5000 0.0000
Co 0.3802 0.6302 0.7500
Co 0.5000 0.0000 0.5000
Co 0.6198 0.3698 0.2500
O 0.2183 0.2353 0.9830
O 0.2389 0.2192 0.4803
O 0.2389 0.7586 0.0197
O 0.2478 0.7647 0.4830
O 0.7522 0.2353 0.5170
O 0.7611 0.2414 0.9803
O 0.7611 0.7808 0.5197
O 0.7817 0.7647 0.0170

Most intense lines, 2θ = 10–80°, sorted by position:
d [Å]	I (rel.)
2.923	521
2.579	979
2.553	1000
2.436	426
2.142	398
1.461	771

Structure and computed X-ray powder pattern of Li2VC2O6 (a cell relaxed with GGA+U; λ = 1.5418 Å (Cu Kα)).

Atomic structure:
a = 9.0489 Å, b = 8.9838 Å, c = 10.7397 Å
α = 53.73°, β = 53.17°, γ = 73.11°
Fractional coordinates of all 44 atoms:
Li 0.2340 0.2526 0.5443
Li 0.2472 0.7528 0.4285
Li 0.2526 0.2340 0.9691
Li 0.2809 0.7057 0.9974
Li 0.6785 0.8215 0.4972
Li 0.7057 0.2809 0.0160
Li 0.7528 0.2472 0.5715
Li 0.8215 0.6785 0.0028
V 0.2501 0.7502 0.7175
V 0.5325 0.9679 0.9999
V 0.7502 0.2501 0.2821
V 0.9679 0.5325 0.4998
C 0.0621 0.9699 0.2696
C 0.4356 0.5269 0.3104
C 0.5229 0.9396 0.7231
C 0.5269 0.4356 0.7271
C 0.5516 0.9804 0.2801
C 0.9396 0.5229 0.8144
C 0.9699 0.0621 0.6984
C 0.9804 0.5516 0.1879
O 0.0110 0.1344 0.1938
O 0.0476 0.6473 0.0115
O 0.0562 0.5892 0.2390
O 0.0754 0.6492 0.6994
O 0.1344 0.0110 0.6608
O 0.2385 0.9564 0.2024
O 0.2580 0.5363 0.4152
O 0.3615 0.4880 0.7954
O 0.4257 0.8423 0.4251
O 0.4546 0.8949 0.8885
O 0.4596 0.8348 0.7137
O 0.4880 0.3615 0.3551
O 0.5363 0.2580 0.7904
O 0.5506 0.6740 0.1746
O 0.5892 0.0562 0.1156
O 0.6473 0.0476 0.2936
O 0.6492 0.0754 0.5760
O 0.6740 0.5506 0.6008
O 0.8249 0.9431 0.8243
O 0.8348 0.4596 0.9920
O 0.8423 0.4257 0.3069
O 0.8949 0.4546 0.7620
O 0.9431 0.8249 0.4077
O 0.9564 0.2385 0.6027

Most intense lines, 2θ = 10–80°, sorted by position:
d [Å]	I (rel.)
5.370	1000
4.094	292
3.359	196
2.790	163
2.778	158
2.685	189

Structure and computed X-ray powder pattern of SrMn2O11 (a cell relaxed with GGA+U; λ = 1.5418 Å (Cu Kα)).

Atomic structure:
a = 9.6957 Å, b = 9.6957 Å, c = 9.6957 Å
α = 90.00°, β = 90.00°, γ = 90.00°
Fractional coordinates of all 56 atoms:
Sr 0.2329 0.2671 0.7329
Sr 0.2671 0.7329 0.2329
Sr 0.7329 0.2329 0.2671
Sr 0.7671 0.7671 0.7671
Mn 0.0140 0.9860 0.4860
Mn 0.0500 0.0500 0.0500
Mn 0.4500 0.9500 0.5500
Mn 0.4860 0.0140 0.9860
Mn 0.5140 0.5140 0.5140
Mn 0.5500 0.4500 0.9500
Mn 0.9500 0.5500 0.4500
Mn 0.9860 0.4860 0.0140
O 0.0219 0.8299 0.8469
O 0.0780 0.8864 0.0826
O 0.0806 0.3892 0.9162
O 0.0826 0.0780 0.8864
O 0.0838 0.5806 0.1108
O 0.1102 0.8898 0.3898
O 0.1108 0.0838 0.5806
O 0.1136 0.5826 0.4220
O 0.1447 0.1447 0.1447
O 0.1531 0.5219 0.6701
O 0.1701 0.3469 0.4781
O 0.3299 0.6531 0.9781
O 0.3469 0.4781 0.1701
O 0.3553 0.8553 0.6447
O 0.3864 0.4174 0.9220
O 0.3892 0.9162 0.0806
O 0.3898 0.1102 0.8898
O 0.4162 0.4194 0.6108
O 0.4174 0.9220 0.3864
O 0.4194 0.6108 0.4162
O 0.4220 0.1136 0.5826
O 0.4781 0.1701 0.3469
O 0.5219 0.6701 0.1531
O 0.5780 0.6136 0.9174
O 0.5806 0.1108 0.0838
O 0.5826 0.4220 0.1136
O 0.5838 0.9194 0.8892
O 0.6102 0.6102 0.6102
O 0.6108 0.4162 0.4194
O 0.6136 0.9174 0.5780
O 0.6447 0.3553 0.8553
O 0.6531 0.9781 0.3299
O 0.6701 0.1531 0.5219
O 0.8299 0.8469 0.0219
O 0.8469 0.0219 0.8299
O 0.8553 0.6447 0.3553
O 0.8864 0.0826 0.0780
O 0.8892 0.5838 0.9194
O 0.8898 0.3898 0.1102
O 0.9162 0.0806 0.3892
O 0.9174 0.5780 0.6136
O 0.9194 0.8892 0.5838
O 0.9220 0.3864 0.4174
O 0.9781 0.3299 0.6531

Most intense lines, 2θ = 10–80°, sorted by position:
d [Å]	I (rel.)
5.598	560
3.428	1000
3.066	170
2.923	210
2.224	276
1.979	243